(1)
The following is a computed powder X-ray diffraction pattern of Na2Ni4Mo4H5O20. It was derived from a structure optimized by DFT (PBE+U), using copper Kα.
Intensities are scaled so that the largest is 100.

Crystal structure
Unit cell a=5.758 b=8.830 c=9.304 alpha=81.15 beta=73.70 gamma=74.17
Fractional positions:
Na (0.219, 0.249, 0.282)
Na (0.781, 0.751, 0.718)
Ni (0.000, 0.000, 0.000)
Ni (0.132, 0.687, 0.295)
Ni (0.500, 0.500, 0.500)
Ni (0.868, 0.313, 0.705)
Mo (0.032, 0.653, 0.044)
Mo (0.466, 0.828, 0.420)
Mo (0.534, 0.172, 0.580)
Mo (0.968, 0.347, 0.956)
H (0.000, 0.500, 0.500)
H (0.144, 0.945, 0.628)
H (0.366, 0.580, 0.825)
H (0.634, 0.420, 0.175)
H (0.856, 0.055, 0.372)
O (0.016, 0.455, 0.136)
O (0.067, 0.821, 0.135)
O (0.189, 0.837, 0.596)
O (0.201, 0.527, 0.436)
O (0.248, 0.065, 0.036)
O (0.277, 0.139, 0.530)
O (0.285, 0.217, 0.973)
O (0.350, 0.651, 0.901)
O (0.394, 0.970, 0.280)
O (0.410, 0.360, 0.665)
O (0.590, 0.640, 0.335)
O (0.606, 0.030, 0.720)
O (0.650, 0.349, 0.099)
O (0.715, 0.783, 0.027)
O (0.723, 0.861, 0.470)
O (0.752, 0.935, 0.964)
O (0.799, 0.473, 0.564)
O (0.811, 0.163, 0.404)
O (0.933, 0.179, 0.865)
O (0.984, 0.545, 0.864)

Top 10 peaks for 15° ≤ 2θ ≤ 90°, most intense first:
| d (Å) | I (rel.) |
| --- | --- |
| 4.155 | 100 |
| 5.207 | 44 |
| 5.892 | 35 |
| 4.449 | 33 |
| 2.628 | 29 |
| 2.757 | 21 |
| 2.791 | 20 |
| 2.875 | 18 |
| 2.680 | 16 |
| 2.038 | 14 |


(2)
The following is a computed powder X-ray diffraction pattern of NaLiCeWO6. It was derived from a structure optimized by DFT (PBE+U), using copper Kα.
Intensities are scaled so that the largest is 100.

Crystal structure
Unit cell a=5.899 b=5.899 c=5.899 alpha=60.00 beta=60.00 gamma=60.00
Fractional positions:
Na (0.000, 0.000, 0.000)
Li (0.500, 0.500, 0.500)
Ce (0.250, 0.250, 0.250)
W (0.750, 0.750, 0.750)
O (0.517, 0.517, 0.983)
O (0.517, 0.983, 0.517)
O (0.517, 0.983, 0.983)
O (0.983, 0.517, 0.517)
O (0.983, 0.517, 0.983)
O (0.983, 0.983, 0.517)

Top 10 peaks for 15° ≤ 2θ ≤ 90°, most intense first:
| d (Å) | I (rel.) |
| --- | --- |
| 4.171 | 100 |
| 2.950 | 78 |
| 1.866 | 42 |
| 1.703 | 32 |
| 2.086 | 28 |
| 1.390 | 20 |
| 1.115 | 17 |
| 1.475 | 17 |
| 1.319 | 14 |
| 2.408 | 11 |